Diffraction record for Nd5Cd. The XRD peak list is computed, not measured: it uses the PBE geometry in Alexandria and copper Kα.
Kinematic intensities with the Lorentz-polarization factor, no thermal factor.

Crystal structure
Unit cell a=8.167 b=8.167 c=5.048 alpha=90.00 beta=90.00 gamma=144.36
Fractional coordinates of all 6 atoms:
Nd1 0.000 0.000 0.000
Nd2 0.163 0.837 0.500
Nd3 0.334 0.666 0.000
Nd4 0.666 0.334 0.000
Nd5 0.837 0.163 0.500
Cd1 0.500 0.500 0.500

The 6 most intense peaks (2θ = 10–80°), in order of rising 2θ:
| 2θ/deg | I/Imax |
| --- | --- |
| 30.51 | 100 |
| 34.61 | 18 |
| 35.57 | 17 |
| 35.93 | 16 |
| 59.49 | 15 |
| 60.77 | 14 |